Diffraction record for Ac5Nd3Se8. The powder diffractogram is theoretical, not measured: it uses a structure optimized by DFT (GGA-PBE) and Cu Kα, 1.54184 Å.
Kinematic intensities with the Lorentz-polarization factor, no thermal factor.

Crystal structure
```
data_Ac5Nd3Se8
_cell_length_a 8.761
_cell_length_b 8.761
_cell_length_c 8.761
_cell_angle_alpha 59.97
_cell_angle_beta 59.97
_cell_angle_gamma 59.97
_symmetry_space_group_name_H-M 'P 1'
_symmetry_Int_Tables_number 1
_symmetry_space_group_name_Hall 'P 1'
loop_
_atom_site_label
_atom_site_type_symbol
_atom_site_fract_x
_atom_site_fract_y
_atom_site_fract_z
Ac1 Ac 0.000 0.000 0.000
Ac2 Ac 0.000 0.500 0.500
Ac3 Ac 0.500 0.000 0.500
Ac4 Ac 0.500 0.500 0.000
Ac5 Ac 0.500 0.500 0.500
Nd1 Nd 0.000 0.000 0.500
Nd2 Nd 0.000 0.500 0.000
Nd3 Nd 0.500 0.000 0.000
Se1 Se 0.240 0.750 0.750
Se2 Se 0.245 0.245 0.245
Se3 Se 0.250 0.250 0.760
Se4 Se 0.250 0.760 0.250
Se5 Se 0.750 0.240 0.750
Se6 Se 0.750 0.750 0.240
Se7 Se 0.755 0.755 0.755
Se8 Se 0.760 0.250 0.250
```

Most intense lines, 2θ from 10° to 90°, most intense first:
28.83°, I = 100.0; 41.22°, I = 76.4; 67.64°, I = 35.3; 24.90°, I = 32.1; 51.08°, I = 27.4; 75.14°, I = 26.2

Diffraction record for Cu2Mo. The powder diffractogram is theoretical, not measured: it uses a structure optimized by DFT (GGA-PBE) and Cu Kα, 1.54184 Å.
Kinematic intensities with the Lorentz-polarization factor, no thermal factor.

Crystal structure
```
data_Cu2Mo
_cell_length_a 7.149
_cell_length_b 7.149
_cell_length_c 4.496
_cell_angle_alpha 90.00
_cell_angle_beta 90.00
_cell_angle_gamma 159.55
_symmetry_space_group_name_H-M 'P 1'
_symmetry_Int_Tables_number 1
_symmetry_space_group_name_Hall 'P 1'
loop_
_atom_site_label
_atom_site_type_symbol
_atom_site_fract_x
_atom_site_fract_y
_atom_site_fract_z
Cu1 Cu 0.059 0.941 0.750
Cu2 Cu 0.279 0.721 0.250
Cu3 Cu 0.721 0.279 0.750
Cu4 Cu 0.941 0.059 0.250
Mo1 Mo 0.392 0.608 0.750
Mo2 Mo 0.608 0.392 0.250
```

Most intense lines, 2θ from 10° to 90°, most intense first:
45.36°, I = 100.0; 43.52°, I = 48.1; 40.11°, I = 46.0; 76.57°, I = 19.5; 40.41°, I = 19.2; 84.61°, I = 18.6

Diffraction record for CsLi2ICl2. The powder diffractogram is theoretical, not measured: it uses a structure optimized by DFT (GGA-PBE) and Cu Kα, 1.54184 Å.
Kinematic intensities with the Lorentz-polarization factor, no thermal factor.

Crystal structure
```
data_CsLi2ICl2
_cell_length_a 7.742
_cell_length_b 6.128
_cell_length_c 8.937
_cell_angle_alpha 90.00
_cell_angle_beta 106.39
_cell_angle_gamma 90.00
_symmetry_space_group_name_H-M 'P 1'
_symmetry_Int_Tables_number 1
_symmetry_space_group_name_Hall 'P 1'
loop_
_atom_site_label
_atom_site_type_symbol
_atom_site_fract_x
_atom_site_fract_y
_atom_site_fract_z
Cs1 Cs 0.167 0.250 0.348
Cs2 Cs 0.833 0.750 0.652
Li1 Li 0.354 0.001 0.810
Li2 Li 0.354 0.499 0.810
Li3 Li 0.646 0.501 0.190
Li4 Li 0.646 0.999 0.190
I1 I 0.328 0.750 0.070
I2 I 0.672 0.250 0.930
Cl1 Cl 0.123 0.250 0.731
Cl2 Cl 0.368 0.750 0.623
Cl3 Cl 0.632 0.250 0.377
Cl4 Cl 0.877 0.750 0.269
```

Most intense lines, 2θ from 10° to 90°, most intense first:
25.37°, I = 100.0; 28.10°, I = 76.9; 19.75°, I = 70.9; 29.15°, I = 42.2; 17.86°, I = 40.5; 26.97°, I = 26.7

Diffraction record for TbSmMgCd. The powder diffractogram is theoretical, not measured: it uses a structure optimized by DFT (GGA-PBE) and Cu Kα, 1.54184 Å.
Kinematic intensities with the Lorentz-polarization factor, no thermal factor.

Crystal structure
```
data_TbSmMgCd
_cell_length_a 3.861
_cell_length_b 5.315
_cell_length_c 5.344
_cell_angle_alpha 90.00
_cell_angle_beta 90.00
_cell_angle_gamma 90.00
_symmetry_space_group_name_H-M 'P 1'
_symmetry_Int_Tables_number 1
_symmetry_space_group_name_Hall 'P 1'
loop_
_atom_site_label
_atom_site_type_symbol
_atom_site_fract_x
_atom_site_fract_y
_atom_site_fract_z
Tb1 Tb 0.000 0.000 0.000
Sm1 Sm 0.000 0.500 0.500
Mg1 Mg 0.500 0.000 0.500
Cd1 Cd 0.500 0.500 0.000
```

Most intense lines, 2θ from 10° to 90°, most intense first:
33.22°, I = 100.0; 33.54°, I = 24.4; 33.73°, I = 24.0; 59.76°, I = 18.2; 60.01°, I = 18.0; 48.30°, I = 17.4

Diffraction record for Sr3LaCu2Bi4O12. The powder diffractogram is theoretical, not measured: it uses a structure optimized by DFT (GGA-PBE) and Cu Kα, 1.54184 Å.
Kinematic intensities with the Lorentz-polarization factor, no thermal factor.

Crystal structure
```
data_Sr3LaCu2Bi4O12
_cell_length_a 5.377
_cell_length_b 5.445
_cell_length_c 12.639
_cell_angle_alpha 91.12
_cell_angle_beta 100.03
_cell_angle_gamma 90.12
_symmetry_space_group_name_H-M 'P 1'
_symmetry_Int_Tables_number 1
_symmetry_space_group_name_Hall 'P 1'
loop_
_atom_site_label
_atom_site_type_symbol
_atom_site_fract_x
_atom_site_fract_y
_atom_site_fract_z
Sr1 Sr 0.000 0.000 0.000
Sr2 Sr 0.116 0.019 0.287
Sr3 Sr 0.497 0.499 0.993
La1 La 0.613 0.505 0.275
Cu1 Cu 0.058 0.508 0.141
Cu2 Cu 0.557 0.006 0.141
Bi1 Bi 0.241 0.550 0.517
Bi2 Bi 0.372 0.021 0.770
Bi3 Bi 0.741 0.011 0.520
Bi4 Bi 0.873 0.521 0.770
O1 O 0.129 0.496 0.352
O2 O 0.137 0.939 0.506
O3 O 0.315 0.263 0.146
O4 O 0.316 0.753 0.152
O5 O 0.466 0.430 0.779
O6 O 0.477 0.990 0.937
O7 O 0.637 0.069 0.356
O8 O 0.637 0.622 0.498
O9 O 0.805 0.261 0.145
O10 O 0.806 0.752 0.150
O11 O 0.964 0.929 0.779
O12 O 0.980 0.491 0.936
```

Most intense lines, 2θ from 10° to 90°, most intense first:
32.90°, I = 100.0; 33.35°, I = 98.3; 47.55°, I = 93.2; 28.83°, I = 77.1; 28.70°, I = 77.1; 30.05°, I = 74.9

Diffraction record for SnTe2Pd6. The powder diffractogram is theoretical, not measured: it uses a structure optimized by DFT (GGA-PBE) and Cu Kα, 1.54184 Å.
Kinematic intensities with the Lorentz-polarization factor, no thermal factor.

Crystal structure
```
data_SnTe2Pd6
_cell_length_a 10.847
_cell_length_b 10.847
_cell_length_c 10.847
_cell_angle_alpha 158.27
_cell_angle_beta 158.27
_cell_angle_gamma 30.92
_symmetry_space_group_name_H-M 'P 1'
_symmetry_Int_Tables_number 1
_symmetry_space_group_name_Hall 'P 1'
loop_
_atom_site_label
_atom_site_type_symbol
_atom_site_fract_x
_atom_site_fract_y
_atom_site_fract_z
Sn1 Sn 0.000 0.000 0.000
Te1 Te 0.323 0.323 0.000
Te2 Te 0.682 0.682 0.000
Pd1 Pd 0.094 0.594 0.500
Pd2 Pd 0.197 0.197 0.000
Pd3 Pd 0.403 0.903 0.500
Pd4 Pd 0.498 0.498 0.000
Pd5 Pd 0.594 0.094 0.500
Pd6 Pd 0.903 0.403 0.500
```

Most intense lines, 2θ from 10° to 90°, most intense first:
40.54°, I = 100.0; 35.48°, I = 54.1; 44.31°, I = 51.3; 78.98°, I = 28.0; 63.66°, I = 22.4; 43.27°, I = 17.9

> Which formula does entry 5 have?

Sr3LaCu2Bi4O12